1.
Diffraction record for UW2C2. The XRD peak list is calculated, not measured: it uses a DFT-relaxed cell (PBE, Alexandria) and a wavelength of 1.5418 Å.
Peak positions follow from Bragg's law for the DFT cell and can differ from measured ones.

Structural model:
```
data_UW2C2
_chemical_formula_sum 'U4 W8 C8'
_cell_length_a 9.2560
_cell_length_b 9.2560
_cell_length_c 5.0644
_cell_angle_alpha 90.00
_cell_angle_beta 90.00
_cell_angle_gamma 90.00
_symmetry_space_group_name_H-M 'I 4/m m m'
_symmetry_Int_Tables_number 139
_symmetry_space_group_name_Hall '-I 4 2'
loop_
_atom_site_label
_atom_site_type_symbol
_atom_site_fract_x
_atom_site_fract_y
_atom_site_fract_z
U1 U 0.0000 0.5000 0.0000
W1 W 0.2069 0.2069 0.0000
C1 C 0.0000 0.2357 0.0000
```

Top 8 peaks for 2θ from 10° to 80°, most intense first:
d = 3.272 Å, 2θ = 27.25°, I = 100, (2 2 0); d = 6.545 Å, 2θ = 13.53°, I = 89, (1 1 0); d = 2.927 Å, 2θ = 30.54°, I = 61, (3 1 0); d = 2.003 Å, 2θ = 45.28°, I = 53, (2 2 2); d = 2.532 Å, 2θ = 35.45°, I = 43, (0 0 2); d = 1.915 Å, 2θ = 47.48°, I = 37, (3 1 2); d = 2.635 Å, 2θ = 34.03°, I = 33, (3 0 1); d = 2.290 Å, 2θ = 39.35°, I = 31, (3 2 1)

2.
Diffraction record for Y4UC4. The XRD peak list is calculated, not measured: it uses a DFT-relaxed cell (PBE, Alexandria) and a wavelength of 1.5418 Å.
Peak positions follow from Bragg's law for the DFT cell and can differ from measured ones.

Structural model:
```
data_Y4UC4
_chemical_formula_sum 'Y8 U2 C8'
_cell_length_a 11.9055
_cell_length_b 3.6112
_cell_length_c 8.7980
_cell_angle_alpha 90.00
_cell_angle_beta 119.81
_cell_angle_gamma 90.00
_symmetry_space_group_name_H-M 'C 1 2/m 1'
_symmetry_Int_Tables_number 12
_symmetry_space_group_name_Hall '-C 2y'
loop_
_atom_site_label
_atom_site_type_symbol
_atom_site_fract_x
_atom_site_fract_y
_atom_site_fract_z
Y1 Y 0.1088 0.0000 0.3921
Y2 Y 0.2033 0.5000 0.8066
U1 U 0.0000 0.5000 0.0000
C1 C 0.0874 0.0000 0.9128
C2 C 0.1909 0.5000 0.2845
```

Top 8 peaks for 2θ from 10° to 80°, most intense first:
d = 2.936 Å, 2θ = 30.44°, I = 100, (1 1 1); d = 2.548 Å, 2θ = 35.22°, I = 62, (3 1 -2); d = 2.928 Å, 2θ = 30.53°, I = 33, (4 0 -1); d = 1.796 Å, 2θ = 50.83°, I = 30, (1 1 -4); d = 2.527 Å, 2θ = 35.52°, I = 30, (2 0 2); d = 7.634 Å, 2θ = 11.59°, I = 27, (0 0 1); d = 1.793 Å, 2θ = 50.92°, I = 20, (5 1 0); d = 1.537 Å, 2θ = 60.20°, I = 20, (4 2 -1)

3.
Diffraction record for Zr5UC6. The XRD peak list is calculated, not measured: it uses a DFT-relaxed cell (PBE, Alexandria) and a wavelength of 1.5418 Å.
Peak positions follow from Bragg's law for the DFT cell and can differ from measured ones.

Structural model:
```
data_Zr5UC6
_chemical_formula_sum 'Zr10 U2 C12'
_cell_length_a 5.8453
_cell_length_b 10.1166
_cell_length_c 5.8454
_cell_angle_alpha 90.00
_cell_angle_beta 109.47
_cell_angle_gamma 90.00
_symmetry_space_group_name_H-M 'C 1 2/m 1'
_symmetry_Int_Tables_number 12
_symmetry_space_group_name_Hall '-C 2y'
loop_
_atom_site_label
_atom_site_type_symbol
_atom_site_fract_x
_atom_site_fract_y
_atom_site_fract_z
Zr1 Zr 0.0000 0.0000 0.0000
Zr2 Zr 0.0000 0.1662 0.5000
Zr3 Zr 0.0000 0.3321 0.0000
U1 U 0.0000 0.5000 0.5000
C1 C 0.2446 0.5000 0.2547
C2 C 0.2461 0.3367 0.7487
```

Top 8 peaks for 2θ from 10° to 80°, most intense first:
d = 2.755 Å, 2θ = 32.50°, I = 100, (2 0 0); d = 2.386 Å, 2θ = 37.71°, I = 72, (1 3 1); d = 1.687 Å, 2θ = 54.38°, I = 48, (2 0 2); d = 1.439 Å, 2θ = 64.79°, I = 22, (3 3 1); d = 1.438 Å, 2θ = 64.82°, I = 21, (2 6 0); d = 1.377 Å, 2θ = 68.07°, I = 16, (4 0 0); d = 4.840 Å, 2θ = 18.33°, I = 8, (1 1 0); d = 4.316 Å, 2θ = 20.58°, I = 7, (1 1 -1)

Please write out number 3 again, unchanged.
Diffraction record for Zr5UC6. The XRD peak list is calculated, not measured: it uses a DFT-relaxed cell (PBE, Alexandria) and a wavelength of 1.5418 Å.
Peak positions follow from Bragg's law for the DFT cell and can differ from measured ones.

Structural model:
```
data_Zr5UC6
_chemical_formula_sum 'Zr10 U2 C12'
_cell_length_a 5.8453
_cell_length_b 10.1166
_cell_length_c 5.8454
_cell_angle_alpha 90.00
_cell_angle_beta 109.47
_cell_angle_gamma 90.00
_symmetry_space_group_name_H-M 'C 1 2/m 1'
_symmetry_Int_Tables_number 12
_symmetry_space_group_name_Hall '-C 2y'
loop_
_atom_site_label
_atom_site_type_symbol
_atom_site_fract_x
_atom_site_fract_y
_atom_site_fract_z
Zr1 Zr 0.0000 0.0000 0.0000
Zr2 Zr 0.0000 0.1662 0.5000
Zr3 Zr 0.0000 0.3321 0.0000
U1 U 0.0000 0.5000 0.5000
C1 C 0.2446 0.5000 0.2547
C2 C 0.2461 0.3367 0.7487
```

Top 8 peaks for 2θ from 10° to 80°, most intense first:
d = 2.755 Å, 2θ = 32.50°, I = 100, (2 0 0); d = 2.386 Å, 2θ = 37.71°, I = 72, (1 3 1); d = 1.687 Å, 2θ = 54.38°, I = 48, (2 0 2); d = 1.439 Å, 2θ = 64.79°, I = 22, (3 3 1); d = 1.438 Å, 2θ = 64.82°, I = 21, (2 6 0); d = 1.377 Å, 2θ = 68.07°, I = 16, (4 0 0); d = 4.840 Å, 2θ = 18.33°, I = 8, (1 1 0); d = 4.316 Å, 2θ = 20.58°, I = 7, (1 1 -1)